This entry pairs a crystal structure of PrP4NO12 with its computed X-ray diffraction stick pattern. Radiation: copper Kα. Structure: a DFT-relaxed cell (GGA-PBE, the Materials Project).

Peak list (12 most intense, 10 to 80 degrees two-theta, sorted by position)
index	2θ (°)	d (Å)	I_rel
1 1 -1	13.83	6.401	75
0 2 1	16.41	5.401	100
1 1 1	18.32	4.843	23
1 1 -2	18.73	4.736	36
2 0 -2	24.05	3.700	19
1 1 2	25.36	3.512	73
1 3 1	27.00	3.303	25
1 3 -2	27.28	3.269	65
2 2 -2	27.87	3.201	24
2 2 -3	32.04	2.793	21
2 4 0	36.90	2.436	31
2 6 -1	48.37	1.882	20

Cell and atoms:
```
data_PrP4NO12
_chemical_formula_sum 'Pr4 P16 N4 O48'
_symmetry_space_group_name_H-M 'C 1 2/c 1'
_symmetry_Int_Tables_number 15
_cell_length_a 8.037
_cell_length_b 12.775
_cell_length_c 10.790
_cell_angle_alpha 90.00
_cell_angle_beta 110.35
_cell_angle_gamma 90.00
loop_
_symmetry_equiv_pos_as_xyz
'x,y,z'
'-x,-y,-z'
'-x,y,-z+1/2'
'x,-y,z+1/2'
'x+1/2,y+1/2,z'
'-x+1/2,-y+1/2,-z'
'-x+1/2,y+1/2,-z+1/2'
'x+1/2,-y+1/2,z+1/2'
loop_
_atom_site_label
_atom_site_fract_x
_atom_site_fract_y
_atom_site_fract_z
Pr1 0.000 0.120 0.250
P1 0.041 0.331 0.499
P2 0.213 0.479 0.941
N1 0.000 0.181 0.750
O1 0.055 0.248 0.098
O2 0.068 0.429 0.412
O3 0.096 0.377 0.935
O4 0.149 0.009 0.924
O5 0.208 0.305 0.610
O6 0.222 0.028 0.174
```